The following is a simulated PXRD pattern of LiTi3MnCrP6O24. It was derived from a structure optimized by DFT (PBE+U), using copper Kα.
Kinematic intensities with the Lorentz-polarization factor, no thermal factor.

Cell and atoms:
```
data_LiTi3MnCrP6O24
_cell_length_a 8.6190
_cell_length_b 8.6190
_cell_length_c 21.1709
_cell_angle_alpha 90.00
_cell_angle_beta 90.00
_cell_angle_gamma 120.00
_space_group_name_H-M_alt 'R 3'
_space_group_IT_number 146
_space_group_name_Hall 'R 3'
loop_
_atom_site_label
_atom_site_type_symbol
_atom_site_fract_x
_atom_site_fract_y
_atom_site_fract_z
_atom_site_occupancy
Li1 Li 0.0000 0.0000 0.0000 1
Ti1 Ti 0.0000 0.0000 0.1403 1
Ti2 Ti 0.0000 0.0000 0.6436 1
Ti3 Ti 0.0000 0.0000 0.8576 1
Mn1 Mn 0.0000 0.0000 0.4982 1
Cr1 Cr 0.0000 0.0000 0.3555 1
P1 P 0.0004 0.7082 0.7491 1
P2 P 0.0009 0.2901 0.2485 1
O1 O 0.9995 0.8116 0.6890 1
O2 O 0.0022 0.8138 0.8078 1
O3 O 0.0042 0.1888 0.1884 1
O4 O 0.0147 0.1851 0.9156 1
O5 O 0.0251 0.8370 0.4205 1
O6 O 0.1414 0.4684 0.9754 1
O7 O 0.1687 0.6893 0.7446 1
O8 O 0.1732 0.4794 0.2440 1
```

Principal peaks in the range 2θ from 5° to 70°, in order of falling intensity:
| 2θ/deg | I (rel.) | index |
| --- | --- | --- |
| 24.2 | 100 | 2 -1 3 |
| 20.6 | 57 | 1 1 0 |
| 32.8 | 40 | 2 -1 6 |
| 36.1 | 23 | 3 0 0 |
| 47.1 | 20 | 3 -2 8 |
| 32.0 | 19 | 2 1 1 |
| 56.5 | 17 | 4 1 0 |
| 29.3 | 15 | 0 2 4 |
| 49.6 | 15 | 4 -2 6 |
| 12.6 | 12 | 1 0 1 |